This entry pairs a crystal structure of MgCu5P2O10 with its theoretical X-ray diffraction stick pattern. Radiation: Cu Kα. Structure: DFT lattice parameters and positions (PBE).
Kinematic intensities with the Lorentz-polarization factor, no thermal factor.

Most intense lines, 10 to 80 degrees two-theta, most intense first:
2theta, d/Å, I_rel
20.07, 4.424, 100
30.04, 2.974, 95
32.04, 2.793, 89
28.75, 3.105, 72
11.26, 7.856, 66
20.25, 4.384, 50
37.32, 2.409, 49
26.87, 3.319, 45
34.26, 2.618, 44
36.99, 2.430, 39
23.34, 3.811, 37
38.98, 2.311, 33

Atomic structure:
Cell lengths 5.4543, 6.0544, 7.9706 Å; angles 83.21, 80.79, 64.09 degrees
Space group P1 (No. 1)
Unique sites:
Mg: 0.0000 0.0000 0.0000 x1
Cu: 0.2609 0.3965 0.8477 x1
Cu: 0.3944 0.7536 0.5579 x1
Cu: 0.6041 0.2436 0.4433 x1
Cu: 0.7385 0.6012 0.1537 x1
Cu: 0.9993 0.4987 0.5006 x1
P: 0.1817 0.0685 0.2332 x1
P: 0.8169 0.9281 0.7687 x1
O: 0.0880 0.9666 0.7237 x1
O: 0.0908 0.2943 0.0950 x1
O: 0.3026 0.4620 0.6003 x1
O: 0.3100 0.0961 0.3797 x1
O: 0.3629 0.8473 0.1176 x1
O: 0.6358 0.1496 0.8842 x1
O: 0.6885 0.9007 0.6222 x1
O: 0.6962 0.5352 0.4010 x1
O: 0.9081 0.7024 0.9067 x1
O: 0.9104 0.0303 0.2779 x1